Calculated X-ray powder pattern of Sc2MnS4 for CuKα, from a DFT-relaxed cell (GGA-PBE, Alexandria).
Intensities are scaled so that the largest is 100.

Cell and atoms:
Cell: 10.607 10.607 10.607 Å, 90.00 90.00 90.00°
Space group Fd-3m (No. 227, origin choice 2)
One atom of each set of equivalent atoms:
Sc 0.000 0.000 0.000
Mn 0.125 0.125 0.625
S 0.006 0.006 0.244

The 10 most intense peaks (2θ from 10° to 80°), by angle:
| Position (°2θ) | I_rel | h k l |
| --- | --- | --- |
| 23.7 | 34 | 2 2 0 |
| 27.9 | 94 | 3 1 1 |
| 33.8 | 55 | 4 0 0 |
| 41.7 | 14 | 4 2 2 |
| 44.4 | 42 | 5 1 1 |
| 48.6 | 100 | 4 4 0 |
| 56.9 | 11 | 5 3 3 |
| 60.5 | 11 | 4 4 4 |
| 67.9 | 16 | 5 5 3 |
| 71.1 | 14 | 8 0 0 |